Structure and theoretical X-ray diffraction stick pattern of CaCrCoF6 (DFT lattice parameters and positions (PBE+U); copper Kα).

Peak list (10 most intense, 2θ = 10–80°, in order of rising 2θ)
| 2θ (°) | d_spacing | intensity | (hkl) |
| --- | --- | --- | --- |
| 25.58 | 3.483 | 100 | 1 1 0 |
| 31.83 | 2.811 | 56 | 1 0 3 |
| 36.82 | 2.441 | 28 | 1 1 3 |
| 49.19 | 1.852 | 70 | 2 1 3 |
| 52.56 | 1.741 | 21 | 2 2 0 |
| 53.54 | 1.712 | 13 | 0 0 6 |
| 59.34 | 1.557 | 9 | 3 1 0 |
| 60.24 | 1.536 | 15 | 1 1 6 |
| 62.77 | 1.480 | 26 | 3 0 3 |
| 78.33 | 1.221 | 11 | 2 2 6 |

Structural model:
Cell: 4.925 4.925 10.270 Å, 90.00 90.00 90.00°
Positions (direct):
Ca1 0.000 0.000 0.000
Ca2 0.500 0.500 0.500
Cr1 0.000 0.000 0.332
Cr2 0.500 0.500 0.832
Co1 0.000 0.000 0.667
Co2 0.500 0.500 0.167
F1 0.183 0.183 0.508
F2 0.206 0.206 0.824
F3 0.209 0.209 0.171
F4 0.291 0.709 0.671
F5 0.294 0.706 0.324
F6 0.317 0.683 0.008
F7 0.683 0.317 0.008
F8 0.706 0.294 0.324
F9 0.709 0.291 0.671
F10 0.791 0.791 0.171
F11 0.794 0.794 0.824
F12 0.817 0.817 0.508